Simulated powder diffraction line list
Compound: Zr3Se4
Radiation: Cu Kα (weighted mean of Kα1 and Kα2)
Structure: the PBE geometry in the Materials Project
Peak positions follow from Bragg's law for the DFT cell and can differ from measured ones.

Cell and atoms:
a b c (Å): 7.887 10.711 3.765
angles (deg): 90.00 90.00 90.00
Space group Cmmm (No. 65)
One atom of each set of equivalent atoms:
Zr 0.000 0.000 0.000 [2 per cell]
Zr 0.250 0.250 0.500 [4 per cell]
Se 0.000 0.264 0.000 [4 per cell]
Se 0.242 0.500 0.500 [4 per cell]

Largest 10 diffraction maxima, by angle, 2θ from 15° to 90°:
hkl 2 0 1, 2θ = 32.9°, intensity 100
hkl 0 4 0, 2θ = 33.5°, intensity 46
hkl 4 0 0, 2θ = 46.0°, intensity 19
hkl 2 4 1, 2θ = 47.6°, intensity 67
hkl 0 0 2, 2θ = 48.3°, intensity 17
hkl 4 4 0, 2θ = 58.1°, intensity 18
hkl 0 4 2, 2θ = 60.1°, intensity 16
hkl 4 4 2, 2θ = 78.9°, intensity 15
hkl 2 8 1, 2θ = 79.8°, intensity 13
hkl 2 4 3, 2θ = 89.9°, intensity 16

=====

Simulated powder diffraction line list
Compound: AsCl2F3
Radiation: Cu Kα (weighted mean of Kα1 and Kα2)
Structure: the PBE geometry in the Materials Project
Peak positions follow from Bragg's law for the DFT cell and can differ from measured ones.

Cell and atoms:
a b c (Å): 8.945 8.945 6.430
angles (deg): 90.00 90.00 90.00
Space group P4/n (No. 85, origin choice 2)
One atom of each set of equivalent atoms:
As 0.250 0.250 0.175 [2 per cell]
As 0.250 0.750 0.500 [2 per cell]
Cl 0.064 0.713 0.309 [8 per cell]
F 0.063 0.318 0.173 [8 per cell]
F 0.250 0.250 0.450 [2 per cell]
F 0.250 0.250 0.897 [2 per cell]

Largest 10 diffraction maxima, by angle, 2θ from 15° to 90°:
hkl 1 0 1, 2θ = 17.0°, intensity 31
hkl 1 1 1, 2θ = 19.7°, intensity 96
hkl 2 0 0, 2θ = 19.9°, intensity 100
hkl 2 1 1, 2θ = 26.2°, intensity 69
hkl 1 0 2, 2θ = 29.5°, intensity 18
hkl 4 0 0, 2θ = 40.3°, intensity 18
hkl 1 3 2, 2θ = 42.6°, intensity 21
hkl 4 2 0, 2θ = 45.3°, intensity 16
hkl 2 4 3, 2θ = 63.6°, intensity 18
hkl 6 2 0, 2θ = 66.0°, intensity 16

=====

Simulated powder diffraction line list
Compound: KPO4
Radiation: Cu Kα (weighted mean of Kα1 and Kα2)
Structure: the PBE geometry in the Materials Project
Peak positions follow from Bragg's law for the DFT cell and can differ from measured ones.

Cell and atoms:
a b c (Å): 5.242 5.621 7.354
angles (deg): 90.00 97.74 90.00
Space group P2_1/m (No. 11)
One atom of each set of equivalent atoms:
K 0.198 0.250 0.236 [2 per cell]
P 0.275 0.250 0.759 [2 per cell]
O 0.058 0.250 0.593 [2 per cell]
O 0.251 0.028 0.878 [4 per cell]
O 0.479 0.750 0.335 [2 per cell]

Largest 10 diffraction maxima, by angle, 2θ from 15° to 90°:
hkl 1 1 0, 2θ = 23.3°, intensity 100
hkl 0 0 2, 2θ = 24.4°, intensity 36
hkl 0 2 0, 2θ = 31.8°, intensity 22
hkl 1 1 -2, 2θ = 32.3°, intensity 29
hkl 2 0 0, 2θ = 34.5°, intensity 12
hkl 1 1 2, 2θ = 35.7°, intensity 18
hkl 2 0 -2, 2θ = 39.8°, intensity 10
hkl 0 2 2, 2θ = 40.5°, intensity 20
hkl 2 2 -2, 2θ = 51.9°, intensity 13
hkl 1 1 4, 2θ = 58.2°, intensity 10

=====

Simulated powder diffraction line list
Compound: LuTa7O19
Radiation: Cu Kα (weighted mean of Kα1 and Kα2)
Structure: the PBE geometry in the Materials Project
Peak positions follow from Bragg's law for the DFT cell and can differ from measured ones.

Cell and atoms:
a b c (Å): 6.2481 6.2481 20.0397
angles (deg): 90.00 90.00 120.00
Space group P-6c2 (No. 188)
One atom of each set of equivalent atoms:
Lu 0.0000 0.0000 0.0000 [2 per cell]
Ta 0.0271 0.3329 0.1552 [12 per cell]
Ta 0.3333 0.6667 0.0000 [2 per cell]
O 0.0000 0.0000 0.1305 [4 per cell]
O 0.0401 0.2903 0.2500 [6 per cell]
O 0.0932 0.3734 0.0549 [12 per cell]
O 0.3333 0.6667 0.1659 [4 per cell]
O 0.4194 0.0856 0.6531 [12 per cell]

Largest 10 diffraction maxima, by angle, 2θ from 15° to 90°:
hkl 1 0 0, 2θ = 16.4°, intensity 34
hkl 0 0 4, 2θ = 17.7°, intensity 23
hkl 0 0 6, 2θ = 26.7°, intensity 67
hkl 1 1 1, 2θ = 28.9°, intensity 100
hkl 1 1 2, 2θ = 30.0°, intensity 45
hkl 1 1 4, 2θ = 33.8°, intensity 55
hkl 1 1 5, 2θ = 36.5°, intensity 51
hkl 3 0 0, 2θ = 50.6°, intensity 42
hkl 1 1 10, 2θ = 54.4°, intensity 25
hkl 3 0 6, 2θ = 58.1°, intensity 41